Record 1
This entry pairs a crystal structure of Sr6Mg7H26 with its simulated powder diffraction line list. Radiation: Cu Kα (λ = 1.5418 Å). Structure: a structure optimized by DFT (PBE).

Main lines, low angle first (2θ from 5° to 70°):
2θ = 22.94°, d = 3.877 Å, I = 24, (1 1 -2); 2θ = 23.09°, d = 3.851 Å, I = 27, (3 1 -2); 2θ = 29.00°, d = 3.079 Å, I = 100, (1 1 2); 2θ = 29.37°, d = 3.041 Å, I = 92, (5 1 -2); 2θ = 30.96°, d = 2.888 Å, I = 20, (5 1 -1); 2θ = 31.10°, d = 2.876 Å, I = 52, (4 0 -4); 2θ = 31.91°, d = 2.805 Å, I = 37, (0 2 0); 2θ = 38.10°, d = 2.362 Å, I = 17, (6 0 0); 2θ = 41.04°, d = 2.199 Å, I = 16, (4 2 0); 2θ = 45.15°, d = 2.008 Å, I = 29, (4 2 -4); 2θ = 53.82°, d = 1.703 Å, I = 18, (3 1 -6); 2θ = 55.08°, d = 1.667 Å, I = 16, (1 3 2)

Atomic structure:
```
data_Sr6Mg7H26
_space_group_name_H-M_alt 'C 1 2/m 1'
_space_group_IT_number 12
_cell_length_a 18.095
_cell_length_b 5.610
_cell_length_c 11.505
_cell_angle_alpha 90.00
_cell_angle_beta 128.44
_cell_angle_gamma 90.00
loop_
_space_group_symop_operation_xyz
'x,y,z'
'-x,-y,-z'
'-x,y,-z'
'x,-y,z'
'x+1/2,y+1/2,z'
'-x+1/2,-y+1/2,-z'
'-x+1/2,y+1/2,-z'
'x+1/2,-y+1/2,z'
loop_
_atom_site_label
_atom_site_type_symbol
_atom_site_fract_x
_atom_site_fract_y
_atom_site_fract_z
Sr1 Sr 0.145 0.000 0.407
Sr2 Sr 0.148 0.500 0.154
Sr3 Sr 0.159 0.000 0.901
Mg1 Mg 0.000 0.000 0.000
Mg2 Mg 0.000 0.243 0.500
Mg3 Mg 0.015 0.500 0.777
Mg4 Mg 0.222 0.500 0.711
H1 H 0.011 0.222 0.678
H2 H 0.026 0.255 0.916
H3 H 0.088 0.500 0.578
H4 H 0.095 0.000 0.581
H5 H 0.117 0.500 0.332
H6 H 0.129 0.000 0.169
H7 H 0.150 0.500 0.921
H8 H 0.246 0.258 0.620
H9 H 0.249 0.265 0.856
```


Record 2
This entry pairs a crystal structure of Sr2MgZnH6 with its simulated powder diffraction line list. Radiation: Cu Kα (λ = 1.5418 Å). Structure: a structure optimized by DFT (PBE).

Main lines, low angle first (2θ from 5° to 70°):
2θ = 19.27°, d = 4.607 Å, I = 8, (1 1 0); 2θ = 22.24°, d = 3.997 Å, I = 7, (0 0 1); 2θ = 22.37°, d = 3.975 Å, I = 4, (0 2 0); 2θ = 31.56°, d = 2.835 Å, I = 20, (2 0 0); 2θ = 31.75°, d = 2.818 Å, I = 100, (0 2 1); 2θ = 45.33°, d = 2.001 Å, I = 8, (0 0 2); 2θ = 45.43°, d = 1.996 Å, I = 8, (4 0 -2); 2θ = 45.65°, d = 1.987 Å, I = 8, (0 4 0); 2θ = 56.32°, d = 1.634 Å, I = 15, (2 2 1); 2θ = 56.57°, d = 1.627 Å, I = 23, (2 4 0); 2θ = 56.68°, d = 1.624 Å, I = 7, (2 4 -2); 2θ = 66.34°, d = 1.409 Å, I = 12, (0 4 2)

Atomic structure:
```
data_Sr2MgZnH6
_space_group_name_H-M_alt 'C 1 2/m 1'
_space_group_IT_number 12
_cell_length_a 7.985
_cell_length_b 7.950
_cell_length_c 5.635
_cell_angle_alpha 90.00
_cell_angle_beta 134.76
_cell_angle_gamma 90.00
loop_
_space_group_symop_operation_xyz
'x,y,z'
'-x,-y,-z'
'-x,y,-z'
'x,-y,z'
'x+1/2,y+1/2,z'
'-x+1/2,-y+1/2,-z'
'-x+1/2,y+1/2,-z'
'x+1/2,-y+1/2,z'
loop_
_atom_site_label
_atom_site_type_symbol
_atom_site_fract_x
_atom_site_fract_y
_atom_site_fract_z
Sr1 Sr 0.000 0.250 0.000
Mg1 Mg 0.000 0.000 0.500
Zn1 Zn 0.000 0.500 0.500
H1 H 0.000 0.254 0.500
H2 H 0.247 0.500 0.503
H3 H 0.247 0.500 0.994
```


Record 3
This entry pairs a crystal structure of MgTa2H with its simulated powder diffraction line list. Radiation: Cu Kα (λ = 1.5418 Å). Structure: a structure optimized by DFT (PBE).

Main lines, low angle first (2θ from 5° to 70°):
2θ = 18.75°, d = 4.734 Å, I = 100, (1 1 1); 2θ = 30.85°, d = 2.899 Å, I = 1, (2 2 0); 2θ = 36.34°, d = 2.472 Å, I = 86, (3 1 1); 2θ = 38.02°, d = 2.367 Å, I = 84, (2 2 2); 2θ = 44.18°, d = 2.050 Å, I = 36, (4 0 0); 2θ = 48.39°, d = 1.881 Å, I = 26, (3 3 1); 2θ = 58.49°, d = 1.578 Å, I = 29, (5 1 1); 2θ = 64.26°, d = 1.449 Å, I = 32, (4 4 0); 2θ = 67.59°, d = 1.386 Å, I = 19, (5 3 1)

Atomic structure:
a = 8.199 Å, b = 8.199 Å, c = 8.199 Å
α = 90.00°, β = 90.00°, γ = 90.00°
Space group Fd-3m (No. 227, origin choice 2)
Unique sites:
Mg  0.125  0.125  0.125
Ta  0.000  0.000  0.500
H  0.125  0.125  0.625


Record 4
This entry pairs a crystal structure of Mg3Tc2H9 with its simulated powder diffraction line list. Radiation: Cu Kα (λ = 1.5418 Å). Structure: a structure optimized by DFT (PBE).

Main lines, low angle first (2θ from 5° to 70°):
2θ = 18.39°, d = 4.825 Å, I = 40, (0 1 2); 2θ = 22.27°, d = 3.992 Å, I = 100, (1 1 0); 2θ = 29.03°, d = 3.076 Å, I = 15, (2 0 2); 2θ = 29.50°, d = 3.028 Å, I = 32, (1 0 4); 2θ = 29.95°, d = 2.984 Å, I = 13, (1 1 3); 2θ = 36.89°, d = 2.437 Å, I = 15, (1 2 2); 2θ = 37.27°, d = 2.412 Å, I = 15, (0 2 4); 2θ = 39.08°, d = 2.305 Å, I = 63, (3 0 0); 2θ = 43.85°, d = 2.065 Å, I = 20, (2 1 4); 2θ = 45.44°, d = 1.996 Å, I = 14, (2 2 0); 2θ = 46.40°, d = 1.957 Å, I = 55, (1 1 6); 2θ = 62.23°, d = 1.492 Å, I = 23, (2 2 6)

Atomic structure:
```
data_Mg3Tc2H9
_space_group_name_H-M_alt 'R -3 c'
_space_group_IT_number 167
_space_group_name_Hall '-R 3 2"c'
_cell_length_a 7.9847
_cell_length_b 7.9847
_cell_length_c 13.4710
_cell_angle_alpha 90.00
_cell_angle_beta 90.00
_cell_angle_gamma 120.00
loop_
_atom_site_label
_atom_site_type_symbol
_atom_site_fract_x
_atom_site_fract_y
_atom_site_fract_z
Mg1 Mg 0.0000 0.3432 0.2500
Tc1 Tc 0.0000 0.0000 0.1596
H1 H 0.0000 0.1788 0.7500
H2 H 0.0098 0.1838 0.4111
```


Record 5
This entry pairs a crystal structure of Mg3TcH7 with its simulated powder diffraction line list. Radiation: Cu Kα (λ = 1.5418 Å). Structure: a structure optimized by DFT (PBE).

Main lines, low angle first (2θ from 5° to 70°):
2θ = 16.87°, d = 5.255 Å, I = 70, (0 0 2); 2θ = 21.39°, d = 4.155 Å, I = 100, (1 0 0); 2θ = 27.36°, d = 3.259 Å, I = 37, (1 0 2); 2θ = 34.13°, d = 2.627 Å, I = 12, (0 0 4); 2θ = 37.49°, d = 2.399 Å, I = 70, (1 1 0); 2θ = 40.63°, d = 2.221 Å, I = 59, (1 0 4); 2θ = 41.38°, d = 2.182 Å, I = 38, (1 1 2); 2θ = 43.57°, d = 2.077 Å, I = 14, (2 0 0); 2θ = 51.59°, d = 1.772 Å, I = 26, (1 1 4); 2θ = 56.47°, d = 1.630 Å, I = 23, (2 0 4); 2θ = 58.80°, d = 1.570 Å, I = 12, (2 1 0); 2θ = 69.77°, d = 1.348 Å, I = 23, (2 1 4)

Atomic structure:
```
data_Mg3TcH7
_space_group_name_H-M_alt 'P 63/m m c'
_space_group_IT_number 194
_space_group_name_Hall '-P 6c 2c'
_cell_length_a 4.7977
_cell_length_b 4.7977
_cell_length_c 10.5094
_cell_angle_alpha 90.00
_cell_angle_beta 90.00
_cell_angle_gamma 120.00
loop_
_atom_site_label
_atom_site_type_symbol
_atom_site_fract_x
_atom_site_fract_y
_atom_site_fract_z
Mg1 Mg 0.0000 0.0000 0.2500
Mg2 Mg 0.3333 0.6667 0.0684
Tc1 Tc 0.0000 0.0000 0.0000
H1 H 0.1698 0.3396 0.5987
H2 H 0.3333 0.6667 0.2500
```


Record 6
This entry pairs a crystal structure of Mg4Te4H3 with its simulated powder diffraction line list. Radiation: Cu Kα (λ = 1.5418 Å). Structure: a structure optimized by DFT (PBE).

Main lines, low angle first (2θ from 5° to 70°):
2θ = 20.58°, d = 4.316 Å, I = 18, (0 1 -1); 2θ = 26.43°, d = 3.372 Å, I = 26, (0 1 2); 2θ = 26.61°, d = 3.349 Å, I = 24, (0 1 -3); 2θ = 27.07°, d = 3.294 Å, I = 64, (1 0 2); 2θ = 27.19°, d = 3.280 Å, I = 40, (0 0 4); 2θ = 29.36°, d = 3.042 Å, I = 100, (1 1 -1); 2θ = 40.34°, d = 2.236 Å, I = 32, (-1 1 4); 2θ = 40.54°, d = 2.225 Å, I = 33, (1 1 -5); 2θ = 41.26°, d = 2.188 Å, I = 25, (0 2 -1); 2θ = 42.73°, d = 2.116 Å, I = 22, (2 0 -1); 2θ = 49.93°, d = 1.827 Å, I = 26, (0 1 -7); 2θ = 50.08°, d = 1.821 Å, I = 17, (1 0 6)

Atomic structure:
```
data_Mg4Te4H3
_space_group_name_H-M_alt 'P 1'
_space_group_IT_number 1
_cell_length_a 4.232
_cell_length_b 4.376
_cell_length_c 13.452
_cell_angle_alpha 98.95
_cell_angle_beta 99.02
_cell_angle_gamma 90.11
loop_
_space_group_symop_operation_xyz
'x,y,z'
loop_
_atom_site_label
_atom_site_type_symbol
_atom_site_fract_x
_atom_site_fract_y
_atom_site_fract_z
Mg1 Mg 0.000 0.000 0.000
Mg2 Mg 0.091 0.556 0.177
Mg3 Mg 0.390 0.404 0.774
Mg4 Mg 0.783 0.792 0.556
Te1 Te 0.281 0.293 0.553
Te2 Te 0.505 0.514 0.007
Te3 Te 0.665 0.685 0.325
Te4 Te 0.894 0.907 0.782
H1 H 0.076 0.091 0.147
H2 H 0.284 0.794 0.558
H3 H 0.662 0.058 0.307
```


Record 7
This entry pairs a crystal structure of Mg2Ti2H with its simulated powder diffraction line list. Radiation: Cu Kα (λ = 1.5418 Å). Structure: a structure optimized by DFT (PBE).

Main lines, low angle first (2θ from 5° to 70°):
2θ = 16.76°, d = 5.291 Å, I = 22, (0 0 1); 2θ = 22.64°, d = 3.927 Å, I = 13, (1 1 0); 2θ = 32.24°, d = 2.777 Å, I = 19, (2 0 0); 2θ = 33.89°, d = 2.645 Å, I = 37, (0 0 2); 2θ = 36.17°, d = 2.484 Å, I = 6, (2 1 0); 2θ = 40.11°, d = 2.248 Å, I = 100, (2 1 1); 2θ = 41.14°, d = 2.194 Å, I = 5, (1 1 2); 2θ = 47.47°, d = 1.915 Å, I = 12, (2 0 2); 2θ = 50.40°, d = 1.811 Å, I = 4, (2 1 2); 2θ = 52.08°, d = 1.756 Å, I = 10, (3 1 0); 2θ = 63.59°, d = 1.463 Å, I = 11, (3 1 2); 2θ = 64.84°, d = 1.438 Å, I = 21, (2 1 3)

Atomic structure:
```
data_Mg2Ti2H
_space_group_name_H-M_alt 'P 4/m b m'
_space_group_IT_number 127
_space_group_name_Hall '-P 4 2ab'
_cell_length_a 5.554
_cell_length_b 5.554
_cell_length_c 5.291
_cell_angle_alpha 90.00
_cell_angle_beta 90.00
_cell_angle_gamma 90.00
loop_
_atom_site_label
_atom_site_type_symbol
_atom_site_fract_x
_atom_site_fract_y
_atom_site_fract_z
Mg1 Mg 0.170 0.330 0.000
Ti1 Ti 0.163 0.663 0.500
H1 H 0.000 0.000 0.500
```


Record 8
This entry pairs a crystal structure of Mg6TiH16 with its simulated powder diffraction line list. Radiation: Cu Kα (λ = 1.5418 Å). Structure: a structure optimized by DFT (PBE).

Main lines, low angle first (2θ from 5° to 70°):
2θ = 16.30°, d = 5.439 Å, I = 39, (1 1 1); 2θ = 31.50°, d = 2.840 Å, I = 19, (3 1 1); 2θ = 32.94°, d = 2.719 Å, I = 100, (2 2 2); 2θ = 38.22°, d = 2.355 Å, I = 40, (4 0 0); 2θ = 41.80°, d = 2.161 Å, I = 7, (3 3 1); 2θ = 50.33°, d = 1.813 Å, I = 6, (3 3 3); 2θ = 55.16°, d = 1.665 Å, I = 36, (4 4 0); 2θ = 57.92°, d = 1.592 Å, I = 6, (5 3 1); 2θ = 64.91°, d = 1.437 Å, I = 2, (5 3 3); 2θ = 65.76°, d = 1.420 Å, I = 36, (6 2 2); 2θ = 69.08°, d = 1.360 Å, I = 9, (4 4 4)

Atomic structure:
```
data_Mg6TiH16
_space_group_name_H-M_alt 'F m -3 m'
_space_group_IT_number 225
_space_group_name_Hall '-F 4 2 3'
_cell_length_a 9.420
_cell_length_b 9.420
_cell_length_c 9.420
_cell_angle_alpha 90.00
_cell_angle_beta 90.00
_cell_angle_gamma 90.00
loop_
_atom_site_label
_atom_site_type_symbol
_atom_site_fract_x
_atom_site_fract_y
_atom_site_fract_z
Mg1 Mg 0.000 0.250 0.250
Ti1 Ti 0.000 0.000 0.000
H1 H 0.113 0.113 0.113
H2 H 0.143 0.143 0.357
```